Diffraction record for Nd3Ho3In2. The X-ray diffraction stick pattern is simulated, not measured: it uses a structure optimized by DFT (GGA-PBE) and copper Kα.
Neutral-atom scattering factors, no anomalous dispersion.

Peak list (6 most intense, 15 to 90 degrees two-theta, sorted by position)
2θ (°)  I (rel.)
31.6  100
36.3  17
36.7  17
36.8  17
62.4  14
62.9  14

abc: 4.8805 4.8977 9.9005
angles: 90.00 90.00 90.00
Element x y z (fractional)
Nd 0.0000 0.0000 0.0000
Nd 0.0000 0.0000 0.5000
Nd 0.5000 0.5000 0.0000
Ho 0.5000 0.0000 0.2523
Ho 0.5000 0.0000 0.7477
Ho 0.5000 0.5000 0.5000
In 0.0000 0.5000 0.2541
In 0.0000 0.5000 0.7459